For NiPbN3, a PBE-relaxed structure gives the theoretical X-ray diffraction stick pattern in this record (Cu Kα).
Lines closer than 0.1° are merged.

The 8 most intense peaks (10° ≤ 2θ ≤ 80°), low angle first:
- (1 0 0), d = 3.882 Å, 22.91 deg, I 269
- (1 1 0), d = 2.745 Å, 32.62 deg, I 1000
- (1 1 1), d = 2.241 Å, 40.24 deg, I 185
- (2 0 0), d = 1.941 Å, 46.81 deg, I 262
- (2 1 0), d = 1.736 Å, 52.73 deg, I 139
- (2 1 1), d = 1.585 Å, 58.22 deg, I 395
- (2 2 0), d = 1.372 Å, 68.35 deg, I 162
- (3 1 0), d = 1.227 Å, 77.81 deg, I 173

Cell and atoms:
Unit cell a=3.8816 b=3.8816 c=3.8816 alpha=90.00 beta=90.00 gamma=90.00
Fractional positions:
Ni 0.0000 0.0000 0.0000
Pb 0.5000 0.5000 0.5000
N 0.0000 0.0000 0.5000
N 0.0000 0.5000 0.0000
N 0.5000 0.0000 0.0000